BaSrB6C6: theoretical X-ray powder pattern (copper Kα), based on a structure optimized by DFT (GGA-PBE).

Main lines, in order of falling intensity (2θ from 10° to 90°):
2θ (°)	intensity	(hkl)
25.38	100.0	1 1 0
44.72	87.7	2 1 1
71.06	42.7	3 2 1
36.20	41.3	2 0 0
58.83	21.8	3 0 1
52.12	15.5	2 2 0

Cell and atoms:
```
data_BaSrB6C6
_space_group_name_H-M_alt 'P m -3'
_space_group_IT_number 200
_space_group_name_Hall '-P 2 2 3'
_cell_length_a 4.9634
_cell_length_b 4.9634
_cell_length_c 4.9634
_cell_angle_alpha 90.00
_cell_angle_beta 90.00
_cell_angle_gamma 90.00
loop_
_atom_site_label
_atom_site_type_symbol
_atom_site_fract_x
_atom_site_fract_y
_atom_site_fract_z
_atom_site_occupancy
Ba1 Ba 0.0000 0.0000 0.0000 1
Sr1 Sr 0.5000 0.5000 0.5000 1
B1 B 0.0000 0.5000 0.2534 1
C1 C 0.0000 0.2538 0.5000 1
```

=====

BaCaB12: theoretical X-ray powder pattern (copper Kα), based on a structure optimized by DFT (GGA-PBE).

Main lines, in order of falling intensity (2θ from 10° to 90°):
2θ (°)	intensity	(hkl)
29.97	100.0	2 2 0
18.22	47.7	1 1 1
48.27	45.3	4 2 0
36.93	42.9	2 2 2
21.07	38.8	2 0 0
66.54	28.9	4 4 2

Cell and atoms:
```
data_BaCaB12
_space_group_name_H-M_alt 'F m -3 m'
_space_group_IT_number 225
_space_group_name_Hall '-F 4 2 3'
_cell_length_a 8.4322
_cell_length_b 8.4322
_cell_length_c 8.4322
_cell_angle_alpha 90.00
_cell_angle_beta 90.00
_cell_angle_gamma 90.00
loop_
_atom_site_label
_atom_site_type_symbol
_atom_site_fract_x
_atom_site_fract_y
_atom_site_fract_z
_atom_site_occupancy
Ba1 Ba 0.0000 0.0000 0.0000 1
Ca1 Ca 0.0000 0.0000 0.5000 1
B1 B 0.1016 0.2500 0.2500 1
```

=====

BaCaBO3F: theoretical X-ray powder pattern (copper Kα), based on a structure optimized by DFT (GGA-PBE).

Main lines, in order of falling intensity (2θ from 10° to 90°):
2θ (°)	intensity	(hkl)
27.94	100.0	1 -1 1
19.36	97.4	0 1 -1
27.76	82.6	1 1 -1
28.50	48.0	-1 2 1
40.27	41.1	2 0 0
20.02	35.3	0 2 1

Cell and atoms:
```
data_BaCaBO3F
_space_group_name_H-M_alt 'P 1'
_space_group_IT_number 1
_cell_length_a 4.4797
_cell_length_b 8.8697
_cell_length_c 9.1574
_cell_angle_alpha 61.29
_cell_angle_beta 89.71
_cell_angle_gamma 89.29
loop_
_space_group_symop_operation_xyz
'x,y,z'
loop_
_atom_site_label
_atom_site_type_symbol
_atom_site_fract_x
_atom_site_fract_y
_atom_site_fract_z
_atom_site_occupancy
Ba1 Ba 0.0000 0.0000 0.0000 1
Ba2 Ba 0.0036 0.3032 0.3978 1
Ba3 Ba 0.0720 0.7264 0.6992 1
Ca1 Ca 0.5007 0.0158 0.3109 1
Ca2 Ca 0.5026 0.6269 0.0871 1
Ca3 Ca 0.5570 0.3929 0.6986 1
B1 B 0.5168 0.3466 0.0252 1
B2 B 0.5187 0.6738 0.3730 1
B3 B 0.5215 0.0189 0.6988 1
O1 O 0.4146 0.0336 0.5503 1
O2 O 0.4250 0.8838 0.8485 1
O3 O 0.5088 0.2032 0.0006 1
O4 O 0.5117 0.3248 0.1867 1
O5 O 0.5118 0.5064 0.3965 1
O6 O 0.5119 0.8125 0.2117 1
O7 O 0.5307 0.5123 0.8897 1
O8 O 0.5329 0.7044 0.5088 1
O9 O 0.7238 0.1372 0.6978 1
F1 F 0.0007 0.6362 0.0858 1
F2 F 0.0560 0.4164 0.6954 1
F3 F 0.9988 0.0247 0.3091 1
```

=====

Ba2CdB6O12: theoretical X-ray powder pattern (copper Kα), based on a structure optimized by DFT (GGA-PBE).

Main lines, in order of falling intensity (2θ from 10° to 90°):
2θ (°)	intensity	(hkl)
28.82	100.0	0 1 5
24.62	87.3	1 1 0
43.30	52.6	3 -1 4
14.99	46.5	1 0 1
46.01	37.6	3 -2 5
38.25	32.8	2 0 5

Cell and atoms:
```
data_Ba2CdB6O12
_space_group_name_H-M_alt 'R -3'
_space_group_IT_number 148
_space_group_name_Hall '-R 3'
_cell_length_a 7.2321
_cell_length_b 7.2321
_cell_length_c 17.8276
_cell_angle_alpha 90.00
_cell_angle_beta 90.00
_cell_angle_gamma 120.00
loop_
_atom_site_label
_atom_site_type_symbol
_atom_site_fract_x
_atom_site_fract_y
_atom_site_fract_z
_atom_site_occupancy
Ba1 Ba 0.0000 0.0000 0.2065 1
Cd1 Cd 0.0000 0.0000 0.0000 1
B1 B 0.0480 0.8299 0.5857 1
O1 O 0.0002 0.2491 0.0858 1
O2 O 0.0458 0.8351 0.4126 1
```